The following is a simulated XRD peak list of Dy6YNi2Te2. It was derived from a GGA-PBE-relaxed structure, using CuKα.

Structure:
Cell lengths 9.3948, 9.3948, 9.3948 Å; angles 156.32, 66.65, 118.73 degrees
Element x y z (fractional)
Dy (0.1320, 0.0000, 0.1320)
Dy (0.2044, 0.8513, 0.3531)
Dy (0.4982, 0.8513, 0.6469)
Dy (0.5167, 0.2016, 0.3151)
Dy (0.8680, 0.0000, 0.8680)
Dy (0.8865, 0.2016, 0.6849)
Y (0.5823, 0.5823, 0.0000)
Ni (0.2719, 0.5101, 0.7618)
Ni (0.7482, 0.5101, 0.2382)
Te (0.2463, 0.2463, 0.0000)
Te (0.8465, 0.3465, 0.5000)

Main lines, sorted by position (10 to 80 degrees two-theta):
- 2θ = 24.90°, 3.576 Å, I 24
- 2θ = 30.30°, 2.949 Å, I 42
- 2θ = 32.87°, 2.725 Å, I 80
- 2θ = 33.91°, 2.644 Å, I 100
- 2θ = 34.43°, 2.605 Å, I 58
- 2θ = 47.15°, 1.928 Å, I 29
- 2θ = 50.80°, 1.797 Å, I 22
- 2θ = 58.68°, 1.573 Å, I 38



The following is a simulated XRD peak list of ErAuSO. It was derived from a GGA-PBE-relaxed structure, using CuKα.

Structure:
Cell lengths 8.3436, 5.7605, 5.7098 Å; angles 90.00, 91.07, 90.00 degrees
Element x y z (fractional)
Er (0.1164, 0.0154, 0.2514)
Er (0.1164, 0.4846, 0.7514)
Er (0.8836, 0.5154, 0.2486)
Er (0.8836, 0.9846, 0.7486)
Au (0.4900, 0.6881, 0.1869)
Au (0.4900, 0.8119, 0.6869)
Au (0.5100, 0.1881, 0.3131)
Au (0.5100, 0.3119, 0.8131)
S (0.2837, 0.0552, 0.8137)
S (0.2837, 0.4448, 0.3137)
S (0.7163, 0.5552, 0.6863)
S (0.7163, 0.9448, 0.1863)
O (0.0179, 0.7487, 0.0006)
O (0.0179, 0.7513, 0.5006)
O (0.9821, 0.2487, 0.4994)
O (0.9821, 0.2513, 0.9994)

Main lines, sorted by position (10 to 80 degrees two-theta):
- 2θ = 21.30°, 4.171 Å, I 97
- 2θ = 30.54°, 2.927 Å, I 42
- 2θ = 30.96°, 2.888 Å, I 100
- 2θ = 31.34°, 2.854 Å, I 92
- 2θ = 32.19°, 2.781 Å, I 58
- 2θ = 32.90°, 2.723 Å, I 96
- 2θ = 36.54°, 2.459 Å, I 42
- 2θ = 45.94°, 1.976 Å, I 56



The following is a simulated XRD peak list of Gd2Dy2SiCl5. It was derived from a GGA-PBE-relaxed structure, using CuKα.

Structure:
Cell lengths 8.9931, 8.9931, 8.1645 Å; angles 102.17, 102.17, 25.41 degrees
Element x y z (fractional)
Gd (0.9996, 0.9996, 0.2312)
Gd (0.0004, 0.0004, 0.7688)
Dy (0.3461, 0.3461, 0.9171)
Dy (0.6539, 0.6539, 0.0829)
Si (0.5000, 0.5000, 0.0000)
Cl (0.1664, 0.1664, 0.3174)
Cl (0.1746, 0.1746, 0.8534)
Cl (0.5000, 0.5000, 0.5000)
Cl (0.8254, 0.8254, 0.1466)
Cl (0.8336, 0.8336, 0.6826)

Main lines, sorted by position (10 to 80 degrees two-theta):
- 2θ = 10.33°, 8.566 Å, I 32
- 2θ = 11.10°, 7.972 Å, I 86
- 2θ = 16.75°, 5.293 Å, I 20
- 2θ = 27.43°, 3.252 Å, I 34
- 2θ = 31.33°, 2.855 Å, I 47
- 2θ = 31.50°, 2.840 Å, I 100
- 2θ = 44.73°, 2.026 Å, I 37
- 2θ = 45.30°, 2.002 Å, I 32



The following is a simulated XRD peak list of Ba2BiWS6. It was derived from a GGA-PBE-relaxed structure, using CuKα.

Structure:
Cell lengths 7.1910, 7.1910, 7.1910 Å; angles 60.00, 60.00, 60.00 degrees
Element x y z (fractional)
Ba (0.2500, 0.2500, 0.2500)
Ba (0.7500, 0.7500, 0.7500)
Bi (0.0000, 0.0000, 0.0000)
W (0.5000, 0.5000, 0.5000)
S (0.2648, 0.2648, 0.7352)
S (0.2648, 0.7352, 0.2648)
S (0.2648, 0.7352, 0.7352)
S (0.7352, 0.2648, 0.2648)
S (0.7352, 0.2648, 0.7352)
S (0.7352, 0.7352, 0.2648)

Main lines, sorted by position (10 to 80 degrees two-theta):
- 2θ = 17.44°, 5.085 Å, I 13
- 2θ = 24.76°, 3.596 Å, I 100
- 2θ = 35.30°, 2.542 Å, I 42
- 2θ = 43.60°, 2.076 Å, I 45
- 2θ = 50.79°, 1.798 Å, I 29
- 2θ = 57.30°, 1.608 Å, I 21
- 2θ = 63.36°, 1.468 Å, I 10
- 2θ = 69.12°, 1.359 Å, I 24